Starting from the GGA-PBE geometry in Alexandria, the XRD peak list of In12HgPb7 was simulated for CuKα.
Intensities are scaled so that the largest is 100.

Principal peaks in the range 10° ≤ 2θ ≤ 90°, by intensity:
| d (Å) | 2θ/deg | intensity |
| --- | --- | --- |
| 2.755 | 32.50 | 100.0 |
| 2.766 | 32.36 | 92.8 |
| 2.705 | 33.12 | 71.0 |
| 2.812 | 31.82 | 67.8 |
| 2.548 | 35.22 | 40.7 |
| 1.569 | 58.86 | 32.6 |
| 3.037 | 29.41 | 31.5 |
| 1.637 | 56.17 | 30.6 |
| 1.723 | 53.17 | 22.8 |
| 1.561 | 59.20 | 21.2 |

```
In12HgPb7
1.0
6.5497 3.7815 3.8700
-6.5497 3.7815 3.8700
0.0000 -7.5629 3.8700
In Hg Pb
12 1 7
Cartesian
-1.7041 -4.6114 3.8700
-4.8456 0.8299 3.8700
-2.8683 -1.6560 5.3346
1.7041 -4.6114 3.8700
-3.1415 3.7815 3.8700
0.0000 -3.3120 6.2754
-2.8683 1.6560 6.2754
2.8683 -1.6560 5.3346
0.0000 3.3120 5.3346
4.8456 0.8299 3.8700
3.1415 3.7815 3.8700
2.8683 1.6560 6.2754
0.0000 0.0000 0.0000
0.0000 -1.9917 2.7386
-1.7249 0.9959 2.7386
1.7249 0.9959 2.7386
0.0000 0.0000 5.8050
-1.7249 -0.9959 8.8714
1.7249 -0.9959 8.8714
0.0000 1.9917 8.8714
```

***

Starting from the GGA-PBE geometry in Alexandria, the XRD peak list of Na2PrBi2Pb was simulated for CuKα.
Intensities are scaled so that the largest is 100.

Principal peaks in the range 10° ≤ 2θ ≤ 90°, by intensity:
| d (Å) | 2θ/deg | intensity |
| --- | --- | --- |
| 2.601 | 34.49 | 100.0 |
| 3.098 | 28.82 | 85.9 |
| 2.964 | 30.15 | 61.5 |
| 3.754 | 23.70 | 51.0 |
| 3.149 | 28.34 | 42.0 |
| 6.468 | 13.69 | 41.9 |
| 4.195 | 21.18 | 41.4 |
| 2.305 | 39.08 | 37.2 |
| 4.354 | 20.40 | 33.6 |
| 2.447 | 36.73 | 28.9 |

```
Na2PrBi2Pb
1.0
4.6104 0.0000 0.0000
0.0000 10.1988 0.0000
0.0000 0.0000 8.3660
Na Pr Bi Pb
4 2 4 2
Cartesian
0.0000 0.6790 0.0000
0.0000 9.5198 4.1830
2.3052 2.0112 2.2701
2.3052 8.1876 6.4531
2.3052 4.2499 7.0717
2.3052 5.9489 2.8887
0.0000 4.2595 1.1766
0.0000 5.9393 5.3596
2.3052 1.2030 6.1013
2.3052 8.9958 1.9183
0.0000 2.8338 4.4854
0.0000 7.3649 0.3025
```

***

Question: Number 2 is which compound?
Answer: Na2PrBi2Pb

***

What did the second record say?
Starting from the GGA-PBE geometry in Alexandria, the XRD peak list of Na2PrBi2Pb was simulated for CuKα.
Intensities are scaled so that the largest is 100.

Principal peaks in the range 10° ≤ 2θ ≤ 90°, by intensity:
| d (Å) | 2θ/deg | intensity |
| --- | --- | --- |
| 2.601 | 34.49 | 100.0 |
| 3.098 | 28.82 | 85.9 |
| 2.964 | 30.15 | 61.5 |
| 3.754 | 23.70 | 51.0 |
| 3.149 | 28.34 | 42.0 |
| 6.468 | 13.69 | 41.9 |
| 4.195 | 21.18 | 41.4 |
| 2.305 | 39.08 | 37.2 |
| 4.354 | 20.40 | 33.6 |
| 2.447 | 36.73 | 28.9 |

```
Na2PrBi2Pb
1.0
4.6104 0.0000 0.0000
0.0000 10.1988 0.0000
0.0000 0.0000 8.3660
Na Pr Bi Pb
4 2 4 2
Cartesian
0.0000 0.6790 0.0000
0.0000 9.5198 4.1830
2.3052 2.0112 2.2701
2.3052 8.1876 6.4531
2.3052 4.2499 7.0717
2.3052 5.9489 2.8887
0.0000 4.2595 1.1766
0.0000 5.9393 5.3596
2.3052 1.2030 6.1013
2.3052 8.9958 1.9183
0.0000 2.8338 4.4854
0.0000 7.3649 0.3025
```

***

Please write out number 2 again, unchanged.
Starting from the GGA-PBE geometry in Alexandria, the XRD peak list of Na2PrBi2Pb was simulated for CuKα.
Intensities are scaled so that the largest is 100.

Principal peaks in the range 10° ≤ 2θ ≤ 90°, by intensity:
| d (Å) | 2θ/deg | intensity |
| --- | --- | --- |
| 2.601 | 34.49 | 100.0 |
| 3.098 | 28.82 | 85.9 |
| 2.964 | 30.15 | 61.5 |
| 3.754 | 23.70 | 51.0 |
| 3.149 | 28.34 | 42.0 |
| 6.468 | 13.69 | 41.9 |
| 4.195 | 21.18 | 41.4 |
| 2.305 | 39.08 | 37.2 |
| 4.354 | 20.40 | 33.6 |
| 2.447 | 36.73 | 28.9 |

```
Na2PrBi2Pb
1.0
4.6104 0.0000 0.0000
0.0000 10.1988 0.0000
0.0000 0.0000 8.3660
Na Pr Bi Pb
4 2 4 2
Cartesian
0.0000 0.6790 0.0000
0.0000 9.5198 4.1830
2.3052 2.0112 2.2701
2.3052 8.1876 6.4531
2.3052 4.2499 7.0717
2.3052 5.9489 2.8887
0.0000 4.2595 1.1766
0.0000 5.9393 5.3596
2.3052 1.2030 6.1013
2.3052 8.9958 1.9183
0.0000 2.8338 4.4854
0.0000 7.3649 0.3025
```